Structure and simulated PXRD pattern of La3Ni2O6 (a cell relaxed with GGA+U; Cu Kα (λ = 1.5418 Å)).
Kinematic intensities with the Lorentz-polarization factor, no thermal factor.

The 10 most intense peaks (2θ = 10–90°), low angle first:
2θ (°), I/Imax, (hkl)
22.74, 18, 1 0 1
26.25, 11, 1 0 3
31.69, 42, 1 1 0
32.20, 100, 1 0 5
42.55, 20, 1 1 6
45.43, 32, 2 0 0
56.77, 39, 2 1 5
57.74, 9, 1 1 10
66.20, 10, 2 2 0
75.86, 12, 2 0 12

Crystal structure
Cell: 3.993 3.993 19.360 Å, 90.00 90.00 90.00°
Space group I4/mmm (No. 139)
Unique sites:
La 0.000 0.000 0.000
La 0.000 0.000 0.184
Ni 0.000 0.000 0.417
O 0.000 0.500 0.083
O 0.000 0.500 0.250


Structure and simulated PXRD pattern of La4Ni3O10 (a cell relaxed with GGA+U; Cu Kα (λ = 1.5418 Å)).
Kinematic intensities with the Lorentz-polarization factor, no thermal factor.

The 10 most intense peaks (2θ = 10–90°), low angle first:
2θ (°), I/Imax, (hkl)
23.18, 13, 1 0 1
32.17, 100, 1 0 7
32.70, 65, 1 1 0
41.88, 27, 1 1 8
45.33, 11, 0 0 14
46.92, 37, 2 0 0
57.01, 11, 1 1 14
58.03, 38, 2 1 7
67.29, 12, 2 0 14
68.53, 11, 2 2 0

Crystal structure
Cell: 3.873 3.873 28.006 Å, 90.00 90.00 90.00°
Space group I4/mmm (No. 139)
Unique sites:
La 0.000 0.000 0.067
La 0.000 0.000 0.199
Ni 0.000 0.000 0.360
Ni 0.000 0.000 0.500
O 0.000 0.000 0.283
O 0.000 0.000 0.431
O 0.000 0.500 0.000
O 0.000 0.500 0.140


Structure and simulated PXRD pattern of La2Ni2O5 (a cell relaxed with GGA+U; Cu Kα (λ = 1.5418 Å)).
Kinematic intensities with the Lorentz-polarization factor, no thermal factor.

The 10 most intense peaks (2θ = 10–90°), low angle first:
2θ (°), I/Imax, (hkl)
31.20, 54, 2 0 -2
32.05, 89, 2 2 0
32.76, 100, 0 2 2
34.79, 46, 2 0 2
45.54, 23, 0 4 0
46.38, 28, 4 0 0
48.45, 23, 0 0 4
55.60, 24, 4 2 -2
56.24, 20, 2 4 -2
56.98, 21, 2 2 -4

Crystal structure
Cell: 7.875 7.967 7.558 Å, 90.00 96.05 90.00°
Space group C2/c (No. 15)
Unique sites:
La 0.247 0.231 0.249
Ni 0.000 0.000 0.000
Ni 0.000 0.500 0.000
O 0.000 0.439 0.750
O 0.037 0.232 0.455
O 0.229 0.043 0.961


Structure and simulated PXRD pattern of La15Ni8O32 (a cell relaxed with GGA+U; Cu Kα (λ = 1.5418 Å)).
Kinematic intensities with the Lorentz-polarization factor, no thermal factor.

The 10 most intense peaks (2θ = 10–90°), low angle first:
2θ (°), I/Imax, (hkl)
24.07, 21, 2 2 1
28.11, 12, 4 0 -2
31.34, 100, 6 2 -1
32.77, 71, 6 0 1
42.60, 20, 2 2 -3
42.72, 11, 6 0 -3
43.71, 29, 2 0 3
47.03, 36, 6 4 1
54.87, 11, 12 0 -2
57.61, 36, 12 2 0

Crystal structure
Cell: 20.731 10.930 6.914 Å, 90.00 104.45 90.00°
Space group Cm (No. 8)
Unique sites:
La 0.000 0.000 0.000
La 0.000 0.500 0.004
La 0.054 0.251 0.670
La 0.127 0.241 0.259
La 0.180 0.500 0.921
La 0.184 0.000 0.903
La 0.249 0.500 0.499
La 0.303 0.246 0.174
La 0.370 0.245 0.750
La 0.425 0.000 0.416
La 0.430 0.500 0.420
Ni 0.090 0.500 0.458
Ni 0.092 0.000 0.453
Ni 0.216 0.248 0.701
Ni 0.339 0.500 0.961
Ni 0.340 0.000 0.953
Ni 0.465 0.250 0.206
O 0.009 0.249 0.948
O 0.025 0.125 0.338
O 0.026 0.374 0.338
O 0.040 0.000 0.715
O 0.048 0.500 0.730
O 0.121 0.000 0.167
O 0.134 0.500 0.199
O 0.146 0.131 0.597
O 0.151 0.374 0.590
O 0.171 0.251 0.984
O 0.258 0.272 0.447
O 0.276 0.374 0.838
O 0.277 0.132 0.851
O 0.296 0.500 0.220
O 0.302 0.000 0.202
O 0.382 0.500 0.693
O 0.395 0.000 0.722
O 0.401 0.373 0.086
O 0.403 0.126 0.085
O 0.418 0.247 0.476